Starting from a cell relaxed with PBE, the XRD peak list of LiCaAg was calculated for Cu Kα (λ = 1.5418 Å).
Neutral-atom scattering factors, no anomalous dispersion.

Cell: 11.072 4.405 7.494 Å, 90.00 126.00 90.00°
Space group C2/m (No. 12)
Asymmetric unit:
Li1 0.186 0.000 0.082 x4
Ca1 0.064 0.500 0.315 x4
Ag1 0.152 0.000 0.687 x4

Most intense lines, 10 to 90 degrees two-theta, by angle:
- 2θ 14.6, rel. 43
- 2θ 16.3, rel. 48
- 2θ 23.5, rel. 100
- 2θ 29.5, rel. 28
- 2θ 30.0, rel. 39
- 2θ 33.5, rel. 33
- 2θ 33.9, rel. 61
- 2θ 36.4, rel. 47
- 2θ 41.0, rel. 26
- 2θ 45.9, rel. 24